(1)
This entry pairs a crystal structure of YLu3 with its simulated powder X-ray diffraction pattern. Radiation: Cu Kα X-rays. Structure: a DFT-relaxed cell (PBE, the Materials Project).
Lines closer than 0.1° are merged.

The 10 most intense peaks (10 to 90 degrees two-theta), by intensity:
| 2theta | Rel. int. |
| --- | --- |
| 33.2 | 100 |
| 32.2 | 24 |
| 29.0 | 24 |
| 61.9 | 22 |
| 58.0 | 20 |
| 51.3 | 20 |
| 62.5 | 16 |
| 43.8 | 16 |
| 85.1 | 14 |
| 89.4 | 9 |

Structure:
a = 7.1185 Å, b = 7.1185 Å, c = 5.5653 Å
α = 90.00°, β = 90.00°, γ = 120.00°
Space group P6_3/mmc (No. 194)
Unique sites:
Y  0.3333  0.6667  0.2500 [2 per cell]
Lu  0.1652  0.3305  0.7500 [6 per cell]



(2)
This entry pairs a crystal structure of LuZn5 with its simulated powder X-ray diffraction pattern. Radiation: Cu Kα X-rays. Structure: a DFT-relaxed cell (PBE, the Materials Project).
Lines closer than 0.1° are merged.

The 10 most intense peaks (10 to 90 degrees two-theta), by intensity:
| 2theta | Rel. int. |
| --- | --- |
| 38.2 | 100 |
| 40.7 | 80 |
| 36.5 | 51 |
| 36.9 | 27 |
| 30.7 | 20 |
| 40.6 | 20 |
| 25.2 | 20 |
| 40.3 | 16 |
| 46.8 | 15 |
| 64.1 | 14 |

Structure:
a = 8.8641 Å, b = 8.8641 Å, c = 8.9540 Å
α = 90.00°, β = 90.00°, γ = 120.00°
Space group P6_3/mmc (No. 194)
Unique sites:
Lu  0.1954  0.3907  0.2500 [6 per cell]
Zn  0.0000  0.0000  0.0000 [2 per cell]
Zn  0.0000  0.5000  0.0000 [6 per cell]
Zn  0.1337  0.5669  0.7500 [6 per cell]
Zn  0.1593  0.3185  0.5912 [12 per cell]
Zn  0.3333  0.6667  0.0138 [4 per cell]



(3)
This entry pairs a crystal structure of Lu2Zn17 with its simulated powder X-ray diffraction pattern. Radiation: Cu Kα X-rays. Structure: a DFT-relaxed cell (PBE, the Materials Project).
Lines closer than 0.1° are merged.

The 10 most intense peaks (10 to 90 degrees two-theta), by intensity:
| 2theta | Rel. int. |
| --- | --- |
| 40.6 | 100 |
| 40.1 | 55 |
| 40.5 | 50 |
| 41.8 | 46 |
| 34.7 | 42 |
| 28.7 | 42 |
| 38.9 | 41 |
| 40.3 | 27 |
| 45.5 | 24 |
| 75.5 | 23 |

Structure:
a = 8.9549 Å, b = 15.5910 Å, c = 8.6499 Å
α = 90.00°, β = 90.00°, γ = 90.00°
Space group Cmcm (No. 63)
Unique sites:
Lu  0.0000  0.0006  0.2500 [4 per cell]
Lu  0.0000  0.3338  0.7500 [4 per cell]
Zn  0.0000  0.1620  0.5157 [8 per cell]
Zn  0.0000  0.3332  0.0974 [8 per cell]
Zn  0.0000  0.5000  0.0000 [4 per cell]
Zn  0.1510  0.1797  0.2500 [8 per cell]
Zn  0.1553  0.4856  0.2500 [8 per cell]
Zn  0.1934  0.1652  0.7500 [8 per cell]
Zn  0.2427  0.0809  0.0156 [16 per cell]
Zn  0.2500  0.2500  0.0000 [8 per cell]



(4)
This entry pairs a crystal structure of LuZn3 with its simulated powder X-ray diffraction pattern. Radiation: Cu Kα X-rays. Structure: a DFT-relaxed cell (PBE, the Materials Project).
Lines closer than 0.1° are merged.

The 10 most intense peaks (10 to 90 degrees two-theta), by intensity:
| 2theta | Rel. int. |
| --- | --- |
| 36.7 | 100 |
| 35.3 | 85 |
| 41.6 | 40 |
| 38.6 | 24 |
| 22.3 | 23 |
| 71.9 | 21 |
| 58.1 | 21 |
| 45.0 | 19 |
| 78.0 | 15 |
| 63.0 | 15 |

Structure:
a = 6.6068 Å, b = 4.3378 Å, c = 9.9691 Å
α = 90.00°, β = 90.00°, γ = 90.00°
Space group Pnma (No. 62)
Unique sites:
Lu  0.2203  0.2500  0.1642 [4 per cell]
Zn  0.0362  0.7500  0.3968 [4 per cell]
Zn  0.0807  0.2500  0.8513 [4 per cell]
Zn  0.2167  0.7500  0.9571 [4 per cell]